No. 1
For AlSnO3, a crystal structure in the Materials Project, relaxed with GGA-PBE gives the computed X-ray diffraction stick pattern in this record (Cu Kα (λ = 1.5418 Å)).
Intensities are scaled so that the largest is 100.

Cell and atoms:
Cell: 5.7687 5.7687 12.3470 Å, 90.00 90.00 120.00°
Space group P6_3cm (No. 185)
Unique sites:
Al (0.0000, 0.0000, 0.0000) x2
Al (0.3333, 0.6667, 0.0386) x4
Sn (0.0000, 0.3002, 0.2655) x6
O (0.0000, 0.0000, 0.1467) x2
O (0.0000, 0.2994, 0.4515) x6
O (0.0000, 0.4551, 0.1095) x6
O (0.3333, 0.6667, 0.2959) x4

Top 10 peaks for 2θ = 15–90°, in order of rising 2θ:
2θ (°)  I (rel.)  index
28.9  32  0 0 4
31.9  100  1 1 1
34.3  29  1 1 2
38.1  35  1 1 3
48.5  33  1 1 5
54.8  13  1 1 6
55.2  22  3 0 0
57.3  11  3 0 2
61.6  14  1 1 7
63.5  21  3 0 4

---

No. 2
For Ca5As3, a crystal structure in the Materials Project, relaxed with GGA-PBE gives the computed X-ray diffraction stick pattern in this record (Cu Kα (λ = 1.5418 Å)).
Intensities are scaled so that the largest is 100.

Cell and atoms:
Cell: 8.5290 8.5290 6.8042 Å, 90.00 90.00 120.00°
Space group P6_3/mcm (No. 193)
Unique sites:
Ca (0.0000, 0.2537, 0.2500) x6
Ca (0.3333, 0.6667, 0.0000) x4
As (0.0000, 0.3898, 0.7500) x6

Top 10 peaks for 2θ = 15–90°, in order of rising 2θ:
2θ (°)  I (rel.)  index
24.6  29  1 1 1
26.2  43  0 0 2
33.7  95  1 1 2
34.7  100  2 1 1
35.9  16  2 0 2
36.5  57  3 0 0
46.3  31  3 1 1
51.9  30  2 1 3
66.9  17  3 0 4
69.4  18  5 0 2

---

No. 3
For Na2ZrP2O11, a crystal structure in the Materials Project, relaxed with GGA-PBE gives the computed X-ray diffraction stick pattern in this record (Cu Kα (λ = 1.5418 Å)).
Intensities are scaled so that the largest is 100.

Cell and atoms:
Cell: 5.3223 8.9592 11.2059 Å, 111.65 90.28 90.91°
Space group P1 (No. 1)
Unique sites:
Na (0.0000, 0.0000, 0.0000) x1
Na (0.0315, 0.6691, 0.5629) x1
Na (0.5147, 0.2443, 0.0447) x1
Na (0.5738, 0.3446, 0.7024) x1
Zr (0.0540, 0.8223, 0.3063) x1
Zr (0.5159, 0.3381, 0.3836) x1
P (0.0142, 0.3900, 0.1907) x1
P (0.0234, 0.2325, 0.5304) x1
P (0.5489, 0.7593, 0.4977) x1
P (0.5564, 0.9431, 0.1663) x1
O (0.0111, 0.0660, 0.4202) x1
O (0.0442, 0.6034, 0.8187) x1
O (0.0890, 0.5668, 0.2106) x1
O (0.1768, 0.9801, 0.7770) x1
O (0.2119, 0.3260, 0.2624) x1
O (0.2158, 0.7059, 0.8490) x1
O (0.2791, 0.0857, 0.7396) x1
O (0.2945, 0.3059, 0.5325) x1
O (0.3149, 0.8490, 0.1756) x1
O (0.3229, 0.8334, 0.4528) x1
O (0.3961, 0.2072, 0.8282) x1
O (0.4550, 0.5836, 0.4781) x1
O (0.5036, 0.5327, 0.1345) x1
O (0.5590, 0.9825, 0.0448) x1
O (0.5608, 0.1001, 0.2884) x1
O (0.6301, 0.8378, 0.6376) x1
O (0.7541, 0.3928, 0.2558) x1
O (0.7807, 0.7505, 0.4108) x1
O (0.7941, 0.8478, 0.1737) x1
O (0.8365, 0.3519, 0.5025) x1
O (0.9560, 0.2319, 0.6619) x1
O (0.9969, 0.2770, 0.0509) x1

Top 10 peaks for 2θ = 15–90°, in order of rising 2θ:
2θ (°)  I (rel.)  index
19.8  19  1 -1 1
20.0  26  1 1 -1
21.3  48  0 2 0
23.5  100  1 -1 2
23.8  23  0 1 -3
25.8  55  0 2 1
29.2  21  1 1 -3
29.3  21  1 -1 3
33.7  23  2 0 0
34.3  21  1 -3 1

---

No. 4
For Sr2MgCuO3, a crystal structure in the Materials Project, relaxed with GGA-PBE gives the computed X-ray diffraction stick pattern in this record (Cu Kα (λ = 1.5418 Å)).
Intensities are scaled so that the largest is 100.

Cell and atoms:
Cell: 3.5167 3.8679 8.1607 Å, 89.97 89.65 89.76°
Space group P1 (No. 1)
Unique sites:
Sr (0.0000, 0.0000, 0.0000) x1
Sr (0.4912, 0.5031, 0.3308) x1
Mg (0.5050, 0.4987, 0.7307) x1
Cu (0.9946, 0.0023, 0.5812) x1
O (0.0070, 0.5027, 0.6045) x1
O (0.5004, 0.4985, 0.9765) x1
O (0.9892, 0.0033, 0.2911) x1

Top 10 peaks for 2θ = 15–90°, in order of rising 2θ:
2θ (°)  I (rel.)  index
25.5  34  0 1 1
31.9  100  0 1 -2
32.9  66  0 0 3
33.5  58  1 0 2
33.7  54  1 0 -2
34.4  91  1 1 0
34.5  89  1 -1 0
47.0  44  0 2 0
48.5  36  -1 1 3
52.0  33  2 0 0

---

No. 5
For SiAg6HgSe6, a crystal structure in the Materials Project, relaxed with GGA-PBE gives the computed X-ray diffraction stick pattern in this record (Cu Kα (λ = 1.5418 Å)).
Intensities are scaled so that the largest is 100.

Cell and atoms:
Cell: 8.0328 7.7520 11.3481 Å, 90.00 90.00 90.00°
Space group Pmn2_1 (No. 31)
Unique sites:
Si (0.0000, 0.2469, 0.0000) x2
Ag (0.0000, 0.7233, 0.9697) x2
Ag (0.0000, 0.8926, 0.5098) x2
Ag (0.2089, 0.4133, 0.3183) x4
Ag (0.2346, 0.9907, 0.7410) x4
Hg (0.0000, 0.4687, 0.6108) x2
Se (0.0000, 0.2337, 0.4586) x2
Se (0.0000, 0.4765, 0.1268) x2
Se (0.0000, 0.7460, 0.7373) x2
Se (0.0000, 0.9961, 0.1074) x2
Se (0.2382, 0.2540, 0.8855) x4

Top 10 peaks for 2θ = 15–90°, in order of rising 2θ:
2θ (°)  I (rel.)  index
27.2  100  2 0 2
27.9  51  0 2 2
28.5  25  1 1 3
29.6  32  2 1 2
33.6  26  0 1 4
35.9  20  2 2 2
42.4  44  2 3 1
45.1  27  4 0 0
45.6  54  2 2 4
53.9  18  4 2 2

---

No. 6
For GdAg2, a crystal structure in the Materials Project, relaxed with GGA-PBE gives the computed X-ray diffraction stick pattern in this record (Cu Kα (λ = 1.5418 Å)).
Intensities are scaled so that the largest is 100.

Cell and atoms:
Cell: 3.7594 3.7594 9.3967 Å, 90.00 90.00 90.00°
Space group I4/mmm (No. 139)
Unique sites:
Gd (0.0000, 0.0000, 0.0000) x2
Ag (0.0000, 0.0000, 0.3276) x4

Top 10 peaks for 2θ = 15–90°, in order of rising 2θ:
2θ (°)  I (rel.)  index
33.7  67  1 1 0
37.4  100  1 0 3
48.4  24  2 0 0
59.0  6  0 0 6
62.7  42  2 1 3
69.7  15  1 1 6
70.9  7  2 2 0
79.7  10  2 0 6
80.9  10  3 1 0
83.0  10  3 0 3

---

No. 7
For Sm2MgCu4O8, a crystal structure in the Materials Project, relaxed with GGA-PBE gives the computed X-ray diffraction stick pattern in this record (Cu Kα (λ = 1.5418 Å)).
Intensities are scaled so that the largest is 100.

Cell and atoms:
Cell: 5.7382 5.7402 7.0221 Å, 114.06 114.01 90.02°
Space group P1 (No. 1)
Unique sites:
Sm (0.0000, 0.0000, 0.0000) x1
Sm (0.2506, 0.7506, 0.5000) x1
Mg (0.7514, 0.2510, 0.4998) x1
Cu (0.1896, 0.4381, 0.8276) x1
Cu (0.5620, 0.3618, 0.1719) x1
Cu (0.6108, 0.8111, 0.1738) x1
Cu (0.6379, 0.3898, 0.8263) x1
O (0.2723, 0.1450, 0.8693) x1
O (0.2756, 0.7278, 0.1308) x1
O (0.3989, 0.3463, 0.3486) x1
O (0.5972, 0.7251, 0.8700) x1
O (0.6545, 0.0504, 0.6513) x1
O (0.8548, 0.4028, 0.1295) x1
O (0.9502, 0.0024, 0.3478) x1
O (0.9984, 0.6025, 0.6523) x1

Top 10 peaks for 2θ = 15–90°, in order of rising 2θ:
2θ (°)  I (rel.)  index
26.9  100  1 -1 1
28.0  49  0 1 1
31.2  18  2 0 -1
35.0  20  2 0 -2
35.9  89  2 1 -1
42.4  42  0 1 -3
44.7  38  2 0 1
52.9  40  3 -1 0
53.5  22  0 3 -3
58.5  31  3 2 -3

---

No. 8
For ZrFeCo, a crystal structure in the Materials Project, relaxed with GGA-PBE gives the computed X-ray diffraction stick pattern in this record (Cu Kα (λ = 1.5418 Å)).
Intensities are scaled so that the largest is 100.

Cell and atoms:
Cell: 4.8634 5.0430 6.9606 Å, 90.00 90.00 90.00°
Space group Imma (No. 74)
Unique sites:
Zr (0.0000, 0.2500, 0.1212) x4
Fe (0.2500, 0.2500, 0.7500) x4
Co (0.0000, 0.0000, 0.5000) x4

Top 10 peaks for 2θ = 15–90°, in order of rising 2θ:
2θ (°)  I (rel.)  index
36.4  80  1 1 2
37.0  21  2 0 0
42.4  100  1 2 1
42.9  48  0 1 3
43.2  43  1 0 3
43.3  85  2 1 1
44.4  35  0 2 2
45.5  38  2 0 2
70.3  32  1 0 5
77.3  41  2 2 4

---

No. 9
For Rb2PrCuI6, a crystal structure in the Materials Project, relaxed with GGA-PBE gives the computed X-ray diffraction stick pattern in this record (Cu Kα (λ = 1.5418 Å)).
Intensities are scaled so that the largest is 100.

Cell and atoms:
Cell: 12.0186 12.0186 12.0186 Å, 90.00 90.00 90.00°
Space group Fm-3m (No. 225)
Unique sites:
Rb (0.2500, 0.2500, 0.2500) x8
Pr (0.0000, 0.0000, 0.0000) x4
Cu (0.0000, 0.0000, 0.5000) x4
I (0.0000, 0.0000, 0.2603) x24

Top 10 peaks for 2θ = 15–90°, in order of rising 2θ:
2θ (°)  I (rel.)  index
25.7  77  2 2 2
29.7  100  4 0 0
33.3  18  4 2 0
42.6  73  4 4 0
50.4  34  6 2 2
52.8  25  4 4 4
61.7  12  8 0 0
68.0  13  6 6 2
70.0  31  8 4 0
77.9  23  8 4 4